Diffraction record for Zn2AgAu. The powder X-ray diffraction pattern is calculated, not measured: it uses the PBE geometry in Alexandria and CuKα.
Intensities are scaled so that the largest is 100.

Principal peaks in the range 10 to 90 degrees two-theta, by angle:
Position (°2θ), d/Å, I (rel.)
17.1, 5.198, 23.2
26.8, 3.332, 47.3
34.5, 2.599, 20.5
38.3, 2.349, 76.6
38.6, 2.331, 78.6
40.3, 2.240, 35.3
40.5, 2.230, 100.0
41.2, 2.193, 33.2
41.6, 2.170, 57.3
59.3, 1.559, 27.8
60.0, 1.543, 21.6
79.9, 1.201, 30.2

Cell and atoms:
Unit cell a=2.884 b=4.340 c=5.365 alpha=90.00 beta=104.34 gamma=90.00
Space group Pm (No. 6)
Unique sites:
Zn: 0.000 0.000 0.000
Zn: 0.145 0.500 0.290
Ag: 0.732 0.000 0.476
Au: 0.410 0.500 0.813